1.
For Mg3AgPt12, a crystal structure in Alexandria, relaxed with GGA-PBE gives the theoretical powder diffraction line list in this record (λ = 1.5418 Å (Cu Kα)).

Peak list (10 most intense, 2θ from 15° to 90°, low angle first)
2θ/deg, d [Å], Rel. int.
22.39, 3.971, 17
31.87, 2.808, 14
39.30, 2.293, 100
45.56, 1.991, 16
45.76, 1.983, 33
66.56, 1.405, 21
66.72, 1.402, 11
79.97, 1.200, 13
80.27, 1.196, 26
84.53, 1.146, 11

Atomic structure:
Lattice parameters (Å, degrees): 3.9653 3.9653 15.9274 90.00 90.00 90.00
Space group P4/mmm (No. 123)
Inequivalent atoms, fractional coordinates:
Mg  0.0000  0.0000  0.0000 x1
Mg  0.0000  0.0000  0.2480 x2
Ag  0.0000  0.0000  0.5000 x1
Pt  0.0000  0.5000  0.1239 x4
Pt  0.0000  0.5000  0.3717 x4
Pt  0.5000  0.5000  0.0000 x1
Pt  0.5000  0.5000  0.2481 x2
Pt  0.5000  0.5000  0.5000 x1

***

2.
For Mg4Ag3Pt, a crystal structure in Alexandria, relaxed with GGA-PBE gives the theoretical powder diffraction line list in this record (λ = 1.5418 Å (Cu Kα)).

Peak list (10 most intense, 2θ from 15° to 90°, low angle first)
2θ/deg, d [Å], Rel. int.
26.12, 3.412, 32
27.62, 3.230, 55
38.38, 2.346, 100
39.46, 2.284, 46
47.93, 1.898, 24
57.03, 1.615, 15
61.47, 1.508, 11
68.67, 1.367, 17
70.84, 1.330, 31
82.20, 1.173, 10

Atomic structure:
Lattice parameters (Å, degrees): 9.1339 6.8237 4.5682 90.00 90.00 90.00
Space group Pmma (No. 51)
Inequivalent atoms, fractional coordinates:
Mg  0.0000  0.2384  0.0000 x4
Mg  0.2500  0.2383  0.4986 x4
Ag  0.0000  0.5000  0.5000 x2
Ag  0.2500  0.0000  0.9985 x2
Ag  0.2500  0.5000  0.9986 x2
Pt  0.0000  0.0000  0.5000 x2